# BeNiF4
Computed powder diffractogram, Cu Ka. Input: a crystal structure in Alexandria, relaxed with GGA+U.

Peak list (10 most intense, 5° ≤ 2θ ≤ 70°, most intense first)
| d_spacing | 2θ/deg | Rel. int. |
| --- | --- | --- |
| 4.927 | 18.00 | 100 |
| 3.166 | 28.19 | 71 |
| 1.860 | 48.98 | 34 |
| 2.068 | 43.77 | 33 |
| 2.741 | 32.67 | 29 |
| 2.184 | 41.33 | 29 |
| 3.714 | 23.96 | 26 |
| 2.918 | 30.63 | 24 |
| 1.977 | 45.91 | 22 |
| 3.979 | 22.34 | 22 |

Cell and atoms:
Lattice parameters (Å, degrees): 5.3051 7.9585 7.5563 90.00 123.87 90.00
Space group P2_1/c (No. 14)
Unique sites:
Be (0.1565, 0.1808, 0.3996) [4 per cell]
Ni (0.3309, 0.5628, 0.6116) [4 per cell]
F (0.0912, 0.0865, 0.1885) [4 per cell]
F (0.1571, 0.7399, 0.1618) [4 per cell]
F (0.3235, 0.0618, 0.5894) [4 per cell]
F (0.3699, 0.1524, 0.9571) [4 per cell]